The following is a computed powder diffractogram of Ca3Pu2MoN6. It was derived from a PBE-relaxed structure, using Cu Kα (λ = 1.5418 Å).

a = 5.8380 Å, b = 10.1163 Å, c = 5.9303 Å
α = 90.00°, β = 109.10°, γ = 90.00°
Space group C2/m (No. 12)
Unique sites:
Ca (0.0000, 0.0000, 0.0000)
Ca (0.0000, 0.3369, 0.0000)
Pu (0.0000, 0.1670, 0.5000)
Mo (0.0000, 0.5000, 0.5000)
N (0.2298, 0.3422, 0.7148)
N (0.2450, 0.5000, 0.2862)

Principal peaks in the range 2θ from 10° to 90°, by angle:
(hkl), two_theta, Rel. int.
0 0 1, 15.81, 945
1 3 0, 31.09, 519
0 0 2, 31.94, 364
2 0 0, 32.46, 935
1 3 1, 37.51, 1000
2 0 1, 40.94, 230
1 3 2, 49.12, 184
2 0 2, 53.74, 334
0 6 0, 54.43, 329
3 3 1, 64.51, 283